Calculated X-ray diffraction stick pattern
Compound: AcCrO6
Radiation: Cu Kα (λ = 1.5418 Å)
Structure: a cell relaxed with PBE+U
Intensities are scaled so that the largest is 100.

Cell and atoms:
Cell: 8.6085 8.6085 8.6085 Å, 90.00 90.00 90.00°
Space group Fm-3m (No. 225)
Symmetry-distinct sites (fractional):
Ac 0.0000 0.0000 0.0000 x4
Cr 0.0000 0.0000 0.5000 x4
O 0.0000 0.0000 0.2905 x24

Largest 10 diffraction maxima, in order of rising 2θ, 15 to 90 degrees two-theta:
- (1 1 1), 17.85 deg, I = 33
- (2 0 0), 20.64 deg, I = 100
- (2 2 0), 29.35 deg, I = 52
- (3 1 1), 34.56 deg, I = 33
- (4 0 0), 41.98 deg, I = 20
- (3 3 1), 45.95 deg, I = 21
- (4 2 0), 47.22 deg, I = 39
- (4 2 2), 52.04 deg, I = 20
- (6 0 0), 65.00 deg, I = 18
- (6 4 2), 84.16 deg, I = 12